For KSmHfSnO6, DFT lattice parameters and positions (PBE) gives the theoretical X-ray powder pattern in this record (λ = 1.5418 Å (Cu Kα)).

Cell and atoms:
Unit cell a=5.7913 b=5.7913 c=5.7913 alpha=60.00 beta=60.00 gamma=60.00
Fractional coordinates of all 10 atoms:
K 0.0000 0.0000 0.0000
Sm 0.5000 0.5000 0.5000
Hf 0.2500 0.2500 0.2500
Sn 0.7500 0.7500 0.7500
O 0.9998 0.9998 0.5002
O 0.9998 0.5002 0.9998
O 0.9998 0.5002 0.5002
O 0.5002 0.9998 0.9998
O 0.5002 0.9998 0.5002
O 0.5002 0.5002 0.9998

Largest 10 diffraction maxima, low angle first, 10° ≤ 2θ ≤ 90°:
2θ/deg, I (rel.)
18.77, 16
21.70, 11
30.88, 100
36.38, 9
44.24, 31
54.92, 41
64.35, 19
73.07, 18
81.41, 6
89.56, 22